This entry pairs a crystal structure of YTm2Lu4Ni2Te2 with its simulated powder X-ray diffraction pattern. Radiation: Cu Kα (λ = 1.5418 Å). Structure: a cell relaxed with PBE.
Neutral-atom scattering factors, no anomalous dispersion.

Main lines, in order of rising 2θ (15 to 90 degrees two-theta):
2theta, d_spacing, I (rel.)
25.20, 3.534, 26
30.72, 2.911, 61
33.51, 2.674, 83
34.52, 2.598, 100
35.01, 2.563, 62
35.11, 2.556, 22
38.98, 2.310, 20
47.71, 1.906, 29
51.94, 1.760, 23
59.56, 1.552, 32

```
data_YTm2Lu4Ni2Te2
_space_group_name_H-M_alt 'P 1'
_space_group_IT_number 1
_cell_length_a 9.1964
_cell_length_b 9.1964
_cell_length_c 9.1964
_cell_angle_alpha 156.08
_cell_angle_beta 67.05
_cell_angle_gamma 118.42
loop_
_space_group_symop_operation_xyz
'x,y,z'
loop_
_atom_site_label
_atom_site_type_symbol
_atom_site_fract_x
_atom_site_fract_y
_atom_site_fract_z
Y1 Y 0.0000 0.0000 0.0000
Tm1 Tm 0.3081 0.6222 0.6859
Tm2 Tm 0.9362 0.6222 0.3141
Lu1 Lu 0.2844 0.4182 0.8661
Lu2 Lu 0.5521 0.4182 0.1339
Lu3 Lu 0.6221 0.2703 0.3518
Lu4 Lu 0.9184 0.2703 0.6482
Ni1 Ni 0.1664 0.9279 0.2385
Ni2 Ni 0.6894 0.9279 0.7615
Te1 Te 0.2679 0.7679 0.5000
Te2 Te 0.6623 0.6623 0.0000
```